Dy3In3RuRh2: calculated powder diffractogram (CuKα), based on a cell relaxed with GGA-PBE.
Peak positions follow from Bragg's law for the DFT cell and can differ from measured ones.

Structural model:
```
data_Dy3In3RuRh2
_symmetry_space_group_name_H-M 'P -6 2 m'
_symmetry_Int_Tables_number 189
_symmetry_space_group_name_Hall 'P -6 -2'
_cell_length_a 7.5810
_cell_length_b 7.5810
_cell_length_c 3.8654
_cell_angle_alpha 90.00
_cell_angle_beta 90.00
_cell_angle_gamma 120.00
loop_
_atom_site_label
_atom_site_type_symbol
_atom_site_fract_x
_atom_site_fract_y
_atom_site_fract_z
Dy1 Dy 0.0000 0.4025 0.0000
In1 In 0.0000 0.7390 0.5000
Ru1 Ru 0.0000 0.0000 0.0000
Rh1 Rh 0.3333 0.6667 0.5000
```

Main lines, in order of rising 2θ (15° ≤ 2θ ≤ 90°):
two_theta  intensity  h k l
33.10  100  1 1 1
35.89  75  2 0 1
36.20  42  2 1 0
41.25  38  3 0 0
43.33  19  2 1 1
47.02  22  0 0 2
64.30  20  3 0 2
66.64  29  3 2 1